Structure and calculated X-ray powder pattern of NaCoTe2AuSe (the PBE geometry in OQMD; Cu Ka).
Lines closer than 0.1° are merged.

The 12 most intense peaks (2θ = 10–80°), in order of rising 2θ:
d_spacing  Position (°2θ)  I/Imax  index
7.405  12.0  97  0 2 0
6.027  14.7  78  0 2 1
3.703  24.0  59  0 4 0
3.643  24.4  49  1 1 0
2.990  29.9  98  1 3 0
2.873  31.1  91  1 3 1
2.593  34.6  100  0 0 4
2.326  38.7  83  1 5 0
2.262  39.9  50  1 3 3
1.959  46.3  56  1 3 4
1.879  48.4  37  2 0 0
1.732  52.9  67  1 5 4

Cell and atoms:
Cell: 3.759 14.810 10.372 Å, 90.00 90.00 90.00°
Space group Cmcm (No. 63)
Asymmetric unit:
Na  0.000  0.238  0.250 [4 per cell]
Co  0.000  0.500  0.000 [4 per cell]
Te  0.000  0.117  0.002 [8 per cell]
Au  0.000  0.108  0.750 [4 per cell]
Se  0.000  0.455  0.750 [4 per cell]